[1]
This entry pairs a crystal structure of CdH2C2O4 with its calculated XRD peak list. Radiation: Cu Kα (λ = 1.5418 Å). Structure: the GGA-PBE geometry in the Materials Project.

Main lines, by angle (5° ≤ 2θ ≤ 70°):
| Position (°2θ) | d [Å] | I_rel | (hkl) |
| --- | --- | --- | --- |
| 15.3 | 5.805 | 1000 | 0 0 2 |
| 15.9 | 5.559 | 694 | 2 0 0 |
| 16.1 | 5.520 | 474 | 1 1 0 |
| 19.9 | 4.457 | 955 | 1 1 -2 |
| 27.9 | 3.202 | 817 | 3 1 0 |
| 31.9 | 2.804 | 644 | 1 1 -4 |

```
data_CdH2C2O4
_cell_length_a 12.0863
_cell_length_b 6.3592
_cell_length_c 12.6212
_cell_angle_alpha 90.00
_cell_angle_beta 113.09
_cell_angle_gamma 90.00
_space_group_name_H-M_alt 'C 1 2/c 1'
_space_group_IT_number 15
loop_
_space_group_symop_operation_xyz
'x,y,z'
'-x,-y,-z'
'-x,y,-z+1/2'
'x,-y,z+1/2'
'x+1/2,y+1/2,z'
'-x+1/2,-y+1/2,-z'
'-x+1/2,y+1/2,-z+1/2'
'x+1/2,-y+1/2,z+1/2'
loop_
_atom_site_label
_atom_site_type_symbol
_atom_site_fract_x
_atom_site_fract_y
_atom_site_fract_z
Cd1 Cd 0.1844 0.0087 0.0505
H1 H 0.0282 0.4754 0.1379
H2 H 0.1209 0.0510 0.2736
C1 C 0.0274 0.3403 0.4087
C2 C 0.1681 0.1017 0.7888
O1 O 0.0211 0.1936 0.0566
O2 O 0.1380 0.3329 0.4263
O3 O 0.1911 0.1859 0.8874
O4 O 0.1960 0.1822 0.7113
```

[2]
This entry pairs a crystal structure of CdH6C2O7 with its calculated XRD peak list. Radiation: Cu Kα (λ = 1.5418 Å). Structure: the GGA-PBE geometry in the Materials Project.

Main lines, by angle (5° ≤ 2θ ≤ 70°):
| Position (°2θ) | d [Å] | I_rel | (hkl) |
| --- | --- | --- | --- |
| 13.8 | 6.408 | 323 | 0 1 0 |
| 15.1 | 5.855 | 883 | 1 0 0 |
| 15.3 | 5.777 | 1000 | 0 1 1 |
| 31.0 | 2.888 | 453 | 0 2 2 |
| 32.1 | 2.788 | 325 | 2 1 0 |
| 33.2 | 2.702 | 289 | 2 0 2 |

```
data_CdH6C2O7
_cell_length_a 6.1593
_cell_length_b 6.7582
_cell_length_c 8.6328
_cell_angle_alpha 72.67
_cell_angle_beta 73.15
_cell_angle_gamma 78.90
_space_group_name_H-M_alt 'P 1'
_space_group_IT_number 1
loop_
_space_group_symop_operation_xyz
'x,y,z'
loop_
_atom_site_label
_atom_site_type_symbol
_atom_site_fract_x
_atom_site_fract_y
_atom_site_fract_z
Cd1 Cd 0.0000 0.0000 0.0000
Cd2 Cd 0.1037 0.6193 0.4200
H1 H 0.9999 0.3892 0.0843
H2 H 0.1094 0.2235 0.3517
H3 H 0.2714 0.3239 0.7808
H4 H 0.3417 0.2211 0.3977
H5 H 0.4284 0.1468 0.8924
H6 H 0.4484 0.0929 0.6276
H7 H 0.4665 0.5555 0.9592
H8 H 0.6656 0.5373 0.8038
H9 H 0.6670 0.4837 0.5272
H10 H 0.6693 0.0359 0.4934
H11 H 0.7583 0.3217 0.1591
H12 H 0.8199 0.3076 0.6394
C1 C 0.0998 0.7016 0.7646
C2 C 0.4853 0.8899 0.1472
C3 C 0.6221 0.7327 0.2677
C4 C 0.9925 0.9124 0.6642
O1 O 0.1125 0.6871 0.9114
O2 O 0.1678 0.5560 0.6907
O3 O 0.2261 0.3125 0.3366
O4 O 0.2804 0.8571 0.1684
O5 O 0.3180 0.1697 0.8217
O6 O 0.5021 0.0667 0.5147
O7 O 0.5209 0.5870 0.3769
O8 O 0.5850 0.0372 0.0388
O9 O 0.6310 0.5600 0.9167
O10 O 0.7739 0.4605 0.6006
O11 O 0.8280 0.7623 0.2470
O12 O 0.9194 0.2665 0.1491
O13 O 0.9342 0.0631 0.7318
O14 O 0.9688 0.9217 0.5204
```

[3]
This entry pairs a crystal structure of CdH6C4S4O2 with its calculated XRD peak list. Radiation: Cu Kα (λ = 1.5418 Å). Structure: the GGA-PBE geometry in the Materials Project.

Main lines, by angle (5° ≤ 2θ ≤ 70°):
| Position (°2θ) | d [Å] | I_rel | (hkl) |
| --- | --- | --- | --- |
| 9.6 | 9.190 | 1000 | 2 0 0 |
| 14.6 | 6.053 | 757 | 0 0 2 |
| 19.8 | 4.484 | 251 | 2 0 2 |
| 26.1 | 3.415 | 240 | 3 1 -1 |
| 28.5 | 3.135 | 738 | 3 1 1 |
| 30.2 | 2.960 | 190 | 4 0 -4 |

```
data_CdH6C4S4O2
_cell_length_a 19.2346
_cell_length_b 4.0722
_cell_length_c 12.6690
_cell_angle_alpha 90.00
_cell_angle_beta 107.15
_cell_angle_gamma 90.00
_space_group_name_H-M_alt 'C 1 2/c 1'
_space_group_IT_number 15
loop_
_space_group_symop_operation_xyz
'x,y,z'
'-x,-y,-z'
'-x,y,-z+1/2'
'x,-y,z+1/2'
'x+1/2,y+1/2,z'
'-x+1/2,-y+1/2,-z'
'-x+1/2,y+1/2,-z+1/2'
'x+1/2,-y+1/2,z+1/2'
loop_
_atom_site_label
_atom_site_type_symbol
_atom_site_fract_x
_atom_site_fract_y
_atom_site_fract_z
Cd1 Cd 0.2500 0.2500 0.0000
H1 H 0.0083 0.1493 0.8684
H2 H 0.0421 0.4709 0.1670
H3 H 0.0856 0.1434 0.7178
C1 C 0.0450 0.2662 0.6492
C2 C 0.1279 0.3632 0.5432
S1 S 0.1467 0.2934 0.4200
S2 S 0.1827 0.4156 0.1483
O1 O 0.0658 0.2284 0.5486
```

[4]
This entry pairs a crystal structure of CdHgC4Se4N4 with its calculated XRD peak list. Radiation: Cu Kα (λ = 1.5418 Å). Structure: the GGA-PBE geometry in the Materials Project.

Main lines, by angle (5° ≤ 2θ ≤ 70°):
| Position (°2θ) | d [Å] | I_rel | (hkl) |
| --- | --- | --- | --- |
| 10.6 | 8.377 | 477 | 1 1 0 |
| 15.0 | 5.923 | 575 | 2 0 0 |
| 24.9 | 3.582 | 1000 | 2 1 1 |
| 29.1 | 3.065 | 390 | 3 0 1 |
| 32.9 | 2.722 | 323 | 2 3 1 |
| 44.4 | 2.039 | 404 | 1 3 2 |

```
data_CdHgC4Se4N4
_cell_length_a 11.8463
_cell_length_b 11.8463
_cell_length_c 4.8614
_cell_angle_alpha 90.00
_cell_angle_beta 90.00
_cell_angle_gamma 90.00
_space_group_name_H-M_alt 'I -4'
_space_group_IT_number 82
loop_
_space_group_symop_operation_xyz
'x,y,z'
'y,-x,-z'
'-x,-y,z'
'-y,x,-z'
'x+1/2,y+1/2,z+1/2'
'y+1/2,-x+1/2,-z+1/2'
'-x+1/2,-y+1/2,z+1/2'
'-y+1/2,x+1/2,-z+1/2'
loop_
_atom_site_label
_atom_site_type_symbol
_atom_site_fract_x
_atom_site_fract_y
_atom_site_fract_z
Cd1 Cd 0.0000 0.0000 0.0000
Hg1 Hg 0.0000 0.5000 0.7500
C1 C 0.0792 0.2269 0.6289
Se1 Se 0.1207 0.3510 0.4362
N1 N 0.0534 0.1445 0.7480
```

[5]
This entry pairs a crystal structure of K2CdC4N4 with its calculated XRD peak list. Radiation: Cu Kα (λ = 1.5418 Å). Structure: the GGA-PBE geometry in the Materials Project.

Main lines, by angle (5° ≤ 2θ ≤ 70°):
| Position (°2θ) | d [Å] | I_rel | (hkl) |
| --- | --- | --- | --- |
| 19.2 | 4.618 | 777 | 2 2 0 |
| 22.6 | 3.939 | 1000 | 3 1 1 |
| 33.6 | 2.666 | 273 | 4 2 2 |
| 35.7 | 2.514 | 413 | 5 1 1 |
| 39.0 | 2.309 | 507 | 4 4 0 |
| 53.9 | 1.701 | 245 | 5 5 3 |

abc: 13.0631 13.0631 13.0631
angles: 90.00 90.00 90.00
Space group Fd-3m (No. 227, origin choice 2)
One atom of each set of equivalent atoms:
1 K 0.0000 0.0000 0.0000 [16 per cell]
2 Cd 0.1250 0.1250 0.6250 [8 per cell]
3 C 0.0267 0.0267 0.7233 [32 per cell]
4 N 0.0251 0.0251 0.2249 [32 per cell]